Computed X-ray diffraction stick pattern
Compound: Pr2Zn3CuPt4
Radiation: Cu Kα (weighted mean of Kα1 and Kα2)
Structure: a cell relaxed with PBE
Peak positions follow from Bragg's law for the DFT cell and can differ from measured ones.

Largest 12 diffraction maxima, in order of falling intensity, 2θ = 10–90°:
index, 2theta, intensity
1 1 2, 34.5, 100
2 0 0, 43.5, 59
1 0 3, 32.5, 48
1 0 5, 46.6, 33
1 1 4, 45.1, 32
2 1 5, 65.6, 23
1 1 1, 31.5, 23
2 1 3, 55.3, 23
3 1 2, 74.0, 22
2 2 0, 63.2, 20
2 0 8, 84.3, 17
0 0 3, 24.2, 15

Structure:
Lattice parameters (Å, degrees): 4.163 4.163 11.027 90.00 90.00 90.00
Space group P-4m2 (No. 115)
Inequivalent atoms, fractional coordinates:
Pr  0.000  0.500  0.247 x2
Zn  0.000  0.500  0.867 x2
Zn  0.500  0.500  0.500 x1
Cu  0.000  0.000  0.500 x1
Pt  0.000  0.000  0.000 x1
Pt  0.000  0.500  0.640 x2
Pt  0.500  0.500  0.000 x1

=====

Computed X-ray diffraction stick pattern
Compound: Pr2Zn12Cu3Pt
Radiation: Cu Kα (weighted mean of Kα1 and Kα2)
Structure: a cell relaxed with PBE
Peak positions follow from Bragg's law for the DFT cell and can differ from measured ones.

Largest 12 diffraction maxima, in order of falling intensity, 2θ = 10–90°:
index, 2theta, intensity
2 0 8, 41.7, 100
1 1 3, 31.4, 80
0 1 11, 35.0, 53
2 2 0, 63.0, 40
0 2 4, 36.8, 39
1 1 6, 34.6, 39
0 2 10, 45.1, 31
0 1 5, 22.1, 30
2 0 2, 35.5, 25
0 1 14, 42.7, 22
1 2 14, 62.5, 22
1 0 10, 32.6, 20

Structure:
Lattice parameters (Å, degrees): 5.9046 5.9046 32.5519 90.00 90.00 120.00
Space group R-3m (No. 166, hexagonal axes)
Inequivalent atoms, fractional coordinates:
Pr  0.0000  0.0000  0.1410 x6
Zn  0.0002  0.5001  0.1067 x18
Zn  0.0416  0.5208  0.6162 x18
Cu  0.0000  0.5000  0.0000 x9
Pt  0.0000  0.0000  0.5000 x3